This entry pairs a crystal structure of Pr2CuAg with its computed XRD peak list. Radiation: Cu Kα X-rays. Structure: a DFT-relaxed cell (GGA-PBE, the Materials Project).
Intensities are scaled so that the largest is 100.

Largest 10 diffraction maxima, by intensity, 2θ from 10° to 90°:
34.08 deg, rel. 100; 61.00 deg, rel. 35; 48.96 deg, rel. 17; 81.87 deg, rel. 15; 71.75 deg, rel. 11; 23.92 deg, rel. 6; 26.79 deg, rel. 3; 55.20 deg, rel. 2; 42.06 deg, rel. 2; 50.58 deg, rel. 1

Structure:
```
Pr2CuAg
1.0
3.721 0.000 0.000
0.000 3.721 0.000
0.000 0.000 7.439
Pr Cu Ag
2 1 1
Direct
0.000 0.000 0.236 Pr
0.000 0.000 0.764 Pr
0.500 0.500 0.000 Cu
0.500 0.500 0.500 Ag
```